Structure and calculated powder diffractogram of Rb2NaRh3F12 (DFT lattice parameters and positions (GGA-PBE); λ = 1.5418 Å (Cu Kα)).

Largest 10 diffraction maxima, in order of rising 2θ, 5° ≤ 2θ ≤ 70°:
- 2θ 14.12, I = 45
- 2θ 23.38, I = 34
- 2θ 27.42, I = 23
- 2θ 27.81, I = 85
- 2θ 28.00, I = 100
- 2θ 28.45, I = 29
- 2θ 29.21, I = 46
- 2θ 44.45, I = 26
- 2θ 47.82, I = 38
- 2θ 48.79, I = 51

Crystal structure
```
Rb2NaRh3F12
1.0
3.7329 2.1552 6.2736
-3.7329 2.1552 6.2736
0.0000 -4.3104 6.2736
Rb Na Rh F
2 1 3 12
direct
0.1334 0.1334 0.1334 Rb
0.8666 0.8666 0.8666 Rb
0.5000 0.5000 0.5000 Na
0.0000 0.5000 0.5000 Rh
0.5000 0.0000 0.5000 Rh
0.5000 0.5000 0.0000 Rh
0.1304 0.5933 0.5933 F
0.1810 0.1810 0.5958 F
0.1810 0.5958 0.1810 F
0.4042 0.8190 0.8190 F
0.4067 0.4067 0.8696 F
0.4067 0.8696 0.4067 F
0.5933 0.1304 0.5933 F
0.5933 0.5933 0.1304 F
0.5958 0.1810 0.1810 F
0.8190 0.4042 0.8190 F
0.8190 0.8190 0.4042 F
0.8696 0.4067 0.4067 F
```